Starting from a structure optimized by DFT (PBE), the powder diffractogram of BaNaMoN3 was calculated for Cu Kα.
Kinematic intensities with the Lorentz-polarization factor, no thermal factor.

Cell and atoms:
Lattice parameters (Å, degrees): 6.0232 11.3217 5.6500 90.00 100.05 90.00
Space group C2/c (No. 15)
Symmetry-distinct sites (fractional):
Ba  0.0000  0.2375  0.2500
Na  0.0000  0.0703  0.7500
Mo  0.0000  0.4512  0.7500
N  0.0000  0.2881  0.7500
N  0.2110  0.4619  0.4847

The 12 most intense peaks (5° ≤ 2θ ≤ 70°), sorted by position:
2θ (°), I/Imax, index
16.9, 53, 1 1 0
21.4, 39, 1 1 -1
30.1, 72, 2 0 0
31.0, 90, 1 3 -1
31.6, 34, 0 4 0
32.2, 59, 0 0 2
33.7, 100, 1 3 1
40.4, 46, 2 0 -2
48.6, 25, 2 0 2
52.3, 31, 3 3 -1
54.9, 27, 1 3 -3
62.6, 24, 4 0 0